No. 1
Theoretical X-ray powder pattern
Compound: NpCuS4
Radiation: a wavelength of 1.5418 Å
Structure: a crystal structure in Alexandria, relaxed with PBE
Peak positions follow from Bragg's law for the DFT cell and can differ from measured ones.

Largest 12 diffraction maxima, by angle, 2θ = 10–90°:
2theta, Rel. int.
16.90, 68
20.74, 100
20.94, 99
27.03, 34
29.64, 29
34.18, 32
34.31, 35
35.83, 86
40.43, 71
42.20, 28
42.62, 26
47.26, 48

Crystal structure
```
data_NpCuS4
_symmetry_space_group_name_H-M 'C m c m'
_symmetry_Int_Tables_number 63
_symmetry_space_group_name_Hall '-C 2c 2'
_cell_length_a 8.5665
_cell_length_b 6.6360
_cell_length_c 8.4856
_cell_angle_alpha 90.00
_cell_angle_beta 90.00
_cell_angle_gamma 90.00
loop_
_atom_site_label
_atom_site_fract_x
_atom_site_fract_y
_atom_site_fract_z
_atom_site_occupancy
Np1 0.0000 0.0707 0.2500 1
Cu1 0.0000 0.4362 0.7500 1
S1 0.0000 0.2250 0.5405 1
S2 0.2131 0.3656 0.2500 1
```

---

No. 2
Theoretical X-ray powder pattern
Compound: Li6HN
Radiation: a wavelength of 1.5418 Å
Structure: a crystal structure in Alexandria, relaxed with PBE
Peak positions follow from Bragg's law for the DFT cell and can differ from measured ones.

Largest 12 diffraction maxima, by angle, 2θ = 10–90°:
2theta, Rel. int.
17.66, 100
23.18, 20
25.07, 46
29.29, 27
34.41, 14
40.14, 16
43.60, 53
46.86, 30
51.45, 24
60.31, 12
69.68, 12
85.13, 10

Crystal structure
```
data_Li6HN
_symmetry_space_group_name_H-M 'P 42/m'
_symmetry_Int_Tables_number 84
_symmetry_space_group_name_Hall '-P 4c'
_cell_length_a 5.0232
_cell_length_b 5.0232
_cell_length_c 7.6741
_cell_angle_alpha 90.00
_cell_angle_beta 90.00
_cell_angle_gamma 90.00
loop_
_atom_site_label
_atom_site_fract_x
_atom_site_fract_y
_atom_site_fract_z
_atom_site_occupancy
Li1 0.1683 0.7950 0.0000 1
Li2 0.2266 0.7108 0.3271 1
H1 0.5000 0.5000 0.0000 1
N1 0.0000 0.0000 0.2500 1
```

---

No. 3
Theoretical X-ray powder pattern
Compound: Pm2Pr3Dy7
Radiation: a wavelength of 1.5418 Å
Structure: a crystal structure in Alexandria, relaxed with PBE
Peak positions follow from Bragg's law for the DFT cell and can differ from measured ones.

Largest 12 diffraction maxima, by angle, 2θ = 10–90°:
2theta, Rel. int.
28.26, 27
30.38, 55
30.55, 34
30.86, 100
31.19, 27
31.42, 45
32.92, 33
34.35, 37
37.15, 21
50.67, 20
53.71, 30
60.87, 24

Crystal structure
```
data_Pm2Pr3Dy7
_symmetry_space_group_name_H-M 'P 1 2/m 1'
_symmetry_Int_Tables_number 10
_symmetry_space_group_name_Hall '-P 2y'
_cell_length_a 5.8830
_cell_length_b 3.6035
_cell_length_c 18.9743
_cell_angle_alpha 90.00
_cell_angle_beta 93.11
_cell_angle_gamma 90.00
loop_
_atom_site_label
_atom_site_fract_x
_atom_site_fract_y
_atom_site_fract_z
_atom_site_occupancy
Pm1 0.2101 0.0000 0.2923 1
Pr1 0.0000 0.0000 0.0000 1
Pr2 0.2781 0.5000 0.6324 1
Dy1 0.1903 0.5000 0.1429 1
Dy2 0.2426 0.0000 0.4620 1
Dy3 0.3079 0.0000 0.8275 1
Dy4 0.5000 0.5000 0.0000 1
```

---

No. 4
Theoretical X-ray powder pattern
Compound: Ta3Mo5
Radiation: a wavelength of 1.5418 Å
Structure: a crystal structure in Alexandria, relaxed with PBE
Peak positions follow from Bragg's law for the DFT cell and can differ from measured ones.

Largest 12 diffraction maxima, by angle, 2θ = 10–90°:
2theta, Rel. int.
19.53, 3
19.68, 8
34.06, 5
39.37, 26
39.66, 100
39.97, 24
57.34, 25
71.58, 17
71.75, 9
72.16, 8
72.38, 17
85.44, 11

Crystal structure
```
data_Ta3Mo5
_symmetry_space_group_name_H-M 'F m m m'
_symmetry_Int_Tables_number 69
_symmetry_space_group_name_Hall '-F 2 2'
_cell_length_a 6.4300
_cell_length_b 9.0228
_cell_length_c 9.1548
_cell_angle_alpha 90.00
_cell_angle_beta 90.00
_cell_angle_gamma 90.00
loop_
_atom_site_label
_atom_site_fract_x
_atom_site_fract_y
_atom_site_fract_z
_atom_site_occupancy
Ta1 0.0000 0.0000 0.0000 1
Ta2 0.2500 0.0000 0.2500 1
Mo1 0.0000 0.0000 0.5000 1
Mo2 0.0000 0.2500 0.2500 1
Mo3 0.2500 0.2500 0.0000 1
```